This entry pairs a crystal structure of AcSeO4 with its computed XRD peak list. Radiation: Cu Kα (λ = 1.5418 Å). Structure: a structure optimized by DFT (GGA-PBE).
Neutral-atom scattering factors, no anomalous dispersion.

Crystal structure
Cell: 6.153 8.850 8.129 Å, 90.00 120.20 90.00°
Space group P2_1/c (No. 14)
One atom of each set of equivalent atoms:
1 Ac 0.094 0.042 0.306
2 Se 0.445 0.700 0.692
3 O 0.170 0.195 0.707
4 O 0.220 0.563 0.554
5 O 0.276 0.632 0.155
6 O 0.475 0.645 0.907

The 12 most intense peaks (2θ from 5° to 70°), low angle first:
- (0 1 1), 16.1°, intensity 27.7
- (1 0 0), 16.7°, intensity 27.4
- (1 2 -1), 25.2°, intensity 57.5
- (0 0 2), 25.4°, intensity 59.1
- (1 2 0), 26.2°, intensity 100.0
- (1 1 1), 27.5°, intensity 50.8
- (1 2 -2), 30.1°, intensity 83.4
- (2 0 -2), 30.3°, intensity 47.1
- (0 1 3), 39.8°, intensity 29.4
- (0 4 1), 42.9°, intensity 38.9
- (3 1 -1), 47.3°, intensity 32.0
- (1 1 3), 51.0°, intensity 31.4

***

This entry pairs a crystal structure of Ac2SmSe2O2 with its computed XRD peak list. Radiation: Cu Kα (λ = 1.5418 Å). Structure: a structure optimized by DFT (GGA-PBE).
Neutral-atom scattering factors, no anomalous dispersion.

Crystal structure
Cell: 4.512 4.512 16.239 Å, 90.00 90.00 90.00°
Space group I4/mmm (No. 139)
One atom of each set of equivalent atoms:
1 Ac 0.000 0.000 0.129
2 Sm 0.000 0.000 0.500
3 Se 0.000 0.000 0.321
4 O 0.000 0.500 0.000

The 12 most intense peaks (2θ from 5° to 70°), low angle first:
- (0 0 4), 21.9°, intensity 14.4
- (1 0 3), 25.7°, intensity 51.0
- (1 1 0), 28.0°, intensity 100.0
- (1 0 5), 34.0°, intensity 70.1
- (1 1 4), 35.8°, intensity 26.4
- (2 0 0), 40.0°, intensity 46.5
- (1 1 6), 43.9°, intensity 17.8
- (2 1 3), 48.1°, intensity 19.8
- (2 1 5), 53.5°, intensity 50.5
- (2 2 0), 57.8°, intensity 15.8
- (3 1 0), 65.4°, intensity 19.0
- (1 0 11), 66.7°, intensity 16.2

***

This entry pairs a crystal structure of SrAc2SeO8 with its computed XRD peak list. Radiation: Cu Kα (λ = 1.5418 Å). Structure: a structure optimized by DFT (GGA-PBE).
Neutral-atom scattering factors, no anomalous dispersion.

Crystal structure
Cell: 5.5425 5.5425 6.9317 Å, 90.00 90.00 120.00°
Space group P-3m1 (No. 164)
One atom of each set of equivalent atoms:
1 Sr 0.0000 0.0000 0.0000
2 Ac 0.3333 0.6667 0.3502
3 Se 0.0000 0.0000 0.5000
4 O 0.1551 0.3101 0.6527
5 O 0.3333 0.6667 0.0320

The 12 most intense peaks (2θ from 5° to 70°), low angle first:
- (0 0 1), 12.8°, intensity 48.5
- (0 1 1), 22.5°, intensity 100.0
- (1 0 2), 31.8°, intensity 67.2
- (1 1 0), 32.3°, intensity 79.3
- (1 1 1), 34.9°, intensity 13.8
- (2 0 1), 39.7°, intensity 40.9
- (0 2 2), 46.0°, intensity 38.3
- (1 1 3), 51.5°, intensity 21.3
- (1 2 1), 52.1°, intensity 22.4
- (0 1 4), 56.5°, intensity 13.7
- (2 1 2), 57.3°, intensity 26.5
- (3 0 0), 57.6°, intensity 15.4

***

This entry pairs a crystal structure of AcTbSe2O with its computed XRD peak list. Radiation: Cu Kα (λ = 1.5418 Å). Structure: a structure optimized by DFT (GGA-PBE).
Neutral-atom scattering factors, no anomalous dispersion.

Crystal structure
Cell: 4.175 4.175 14.817 Å, 90.00 90.00 90.00°
Space group P4/nmm (No. 129, origin choice 2)
One atom of each set of equivalent atoms:
1 Ac 0.250 0.250 0.089
2 Tb 0.250 0.250 0.618
3 Se 0.250 0.250 0.410
4 Se 0.250 0.250 0.796
5 O 0.250 0.750 0.000

The 12 most intense peaks (2θ from 5° to 70°), low angle first:
- (0 0 4), 24.0°, intensity 27.6
- (1 0 2), 24.5°, intensity 70.5
- (1 0 3), 28.0°, intensity 45.8
- (1 1 0), 30.3°, intensity 100.0
- (1 0 4), 32.3°, intensity 28.4
- (1 1 4), 39.0°, intensity 39.5
- (1 0 6), 42.5°, intensity 19.0
- (2 0 0), 43.3°, intensity 43.7
- (1 1 6), 48.0°, intensity 23.7
- (2 0 4), 50.2°, intensity 15.9
- (2 1 2), 50.4°, intensity 21.2
- (2 1 3), 52.4°, intensity 16.4

***

This entry pairs a crystal structure of AcTiSeO6 with its computed XRD peak list. Radiation: Cu Kα (λ = 1.5418 Å). Structure: a structure optimized by DFT (GGA-PBE).
Neutral-atom scattering factors, no anomalous dispersion.

Crystal structure
Cell: 5.2066 5.2066 5.3563 Å, 90.00 90.00 120.00°
Space group P312 (No. 149)
One atom of each set of equivalent atoms:
1 Ac 0.0000 0.0000 0.0000
2 Ti 0.6667 0.3333 0.5000
3 Se 0.3333 0.6667 0.5000
4 O 0.0067 0.3898 0.7066

The 12 most intense peaks (2θ from 5° to 70°), low angle first:
- (1 0 0), 19.7°, intensity 21.3
- (1 0 1), 25.8°, intensity 100.0
- (0 0 2), 33.5°, intensity 6.9
- (1 1 0), 34.5°, intensity 25.7
- (1 0 2), 39.1°, intensity 12.1
- (2 0 0), 40.0°, intensity 7.6
- (2 0 1), 43.6°, intensity 22.4
- (2 -1 2), 48.8°, intensity 31.1
- (1 0 3), 55.3°, intensity 11.1
- (3 -1 1), 56.7°, intensity 22.7
- (3 0 0), 61.7°, intensity 8.4
- (2 0 3), 66.8°, intensity 8.0

***

This entry pairs a crystal structure of Ac3TlSe4O12 with its computed XRD peak list. Radiation: Cu Kα (λ = 1.5418 Å). Structure: a structure optimized by DFT (GGA-PBE).
Neutral-atom scattering factors, no anomalous dispersion.

Crystal structure
Cell: 12.8945 12.8945 9.2719 Å, 90.00 90.00 120.00°
Space group R32 (No. 155, hexagonal axes)
One atom of each set of equivalent atoms:
1 Ac 0.0000 0.5576 0.0000
2 Tl 0.0000 0.0000 0.0000
3 Se 0.0000 0.0000 0.5000
4 Se 0.0000 0.4432 0.5000
5 O 0.0000 0.6208 0.5000
6 O 0.0000 0.8530 0.5000
7 O 0.0322 0.2402 0.1707

The 12 most intense peaks (2θ from 5° to 70°), low angle first:
- (1 1 0), 13.7°, intensity 15.1
- (0 2 1), 18.6°, intensity 34.8
- (2 1 1), 23.2°, intensity 33.0
- (2 0 2), 25.0°, intensity 100.0
- (2 2 0), 27.7°, intensity 34.7
- (1 3 1), 30.4°, intensity 36.0
- (1 1 3), 32.1°, intensity 16.1
- (3 1 2), 34.8°, intensity 14.5
- (0 2 4), 42.2°, intensity 24.7
- (5 1 1), 46.3°, intensity 15.9
- (4 1 3), 47.5°, intensity 18.6
- (5 2 0), 51.1°, intensity 17.3

***

This entry pairs a crystal structure of AcTlSe2O6 with its computed XRD peak list. Radiation: Cu Kα (λ = 1.5418 Å). Structure: a structure optimized by DFT (GGA-PBE).
Neutral-atom scattering factors, no anomalous dispersion.

Crystal structure
Cell: 5.9052 5.9052 19.9794 Å, 90.00 90.00 120.00°
Space group R-3 (No. 148, hexagonal axes)
One atom of each set of equivalent atoms:
1 Ac 0.0000 0.0000 0.0000
2 Tl 0.0000 0.0000 0.5000
3 Se 0.0000 0.0000 0.2232
4 O 0.0446 0.2858 0.7409

The 12 most intense peaks (2θ from 5° to 70°), low angle first:
- (0 1 2), 19.5°, intensity 30.0
- (1 0 4), 24.9°, intensity 100.0
- (1 1 0), 30.3°, intensity 54.0
- (2 0 2), 36.3°, intensity 10.4
- (0 2 4), 39.6°, intensity 23.0
- (0 1 8), 40.2°, intensity 19.6
- (2 -1 6), 40.8°, intensity 22.9
- (3 -2 2), 47.9°, intensity 9.2
- (3 -1 4), 50.6°, intensity 25.2
- (3 0 0), 53.8°, intensity 14.0
- (1 2 8), 60.6°, intensity 10.2
- (1 3 4), 68.8°, intensity 11.9

***

This entry pairs a crystal structure of Ac2USe4O2 with its computed XRD peak list. Radiation: Cu Kα (λ = 1.5418 Å). Structure: a structure optimized by DFT (GGA-PBE).
Neutral-atom scattering factors, no anomalous dispersion.

Crystal structure
Cell: 11.175 7.763 5.222 Å, 90.00 100.32 90.00°
Space group C2/m (No. 12)
One atom of each set of equivalent atoms:
1 Ac 0.177 0.000 0.317
2 U 0.000 0.500 0.000
3 Se 0.113 0.226 0.786
4 O 0.132 0.500 0.282

The 12 most intense peaks (2θ from 5° to 70°), low angle first:
- (2 0 -1), 21.5°, intensity 20.5
- (0 2 0), 22.9°, intensity 18.0
- (1 1 1), 23.4°, intensity 78.6
- (3 1 0), 26.9°, intensity 68.1
- (2 2 -1), 31.6°, intensity 100.0
- (1 1 -2), 36.4°, intensity 32.7
- (1 3 1), 40.5°, intensity 30.8
- (2 0 2), 41.4°, intensity 15.4
- (5 1 -1), 43.4°, intensity 16.1
- (4 0 -2), 43.7°, intensity 17.0
- (4 2 1), 46.5°, intensity 15.6
- (0 4 0), 46.8°, intensity 16.5